[1]
Structure and theoretical powder X-ray diffraction pattern of NdY5Sc (a GGA-PBE-relaxed structure; Cu Kα, 1.54184 Å).

The 6 most intense peaks (15° ≤ 2θ ≤ 90°), by intensity:
| d/Å | 2θ (°) | I (rel.) |
| --- | --- | --- |
| 2.692 | 33.29 | 1000 |
| 2.865 | 31.21 | 456 |
| 2.796 | 32.01 | 376 |
| 2.598 | 34.52 | 303 |
| 4.008 | 22.18 | 179 |
| 5.197 | 17.06 | 155 |

Structural model:
```
NdY5Sc
1.0
5.5320 -6.2984 0.0000
5.5320 6.2984 0.0000
-2.4032 0.0000 6.5822
Nd Y Sc
2 10 2
Cartesian
3.7297 4.3624 4.9366
4.9312 -4.3624 1.6455
4.9312 4.9287 1.6455
1.2831 0.3418 4.2123
2.4847 -0.3418 0.9212
4.0927 1.7177 3.0467
5.7698 1.7177 0.2444
2.8911 -1.7177 6.3378
4.5683 -1.7177 3.5355
6.1762 0.3418 5.6609
7.3778 -0.3418 2.3698
3.7297 -4.9287 4.9366
2.7660 3.1492 0.0000
1.5644 -3.1492 3.2911
```

***

[2]
Structure and theoretical powder X-ray diffraction pattern of Ac2Tb7Dy4 (a GGA-PBE-relaxed structure; Cu Kα, 1.54184 Å).

The 6 most intense peaks (15° ≤ 2θ ≤ 90°), by intensity:
| d/Å | 2θ (°) | I (rel.) |
| --- | --- | --- |
| 2.811 | 31.84 | 1000 |
| 3.018 | 29.60 | 353 |
| 2.544 | 35.28 | 314 |
| 1.788 | 51.07 | 283 |
| 3.344 | 26.66 | 228 |
| 3.098 | 28.82 | 182 |

Structural model:
```
Ac2Tb7Dy4
1.0
6.1955 0.0000 0.0000
-3.0978 5.3655 0.0000
0.0000 0.0000 13.3762
Ac Tb Dy
2 7 4
Cartesian
0.0000 3.5770 0.0000
3.0978 1.7885 0.0000
0.0000 0.0000 0.0000
-1.1090 1.9208 10.4051
-1.9888 3.4447 2.9711
2.2179 0.0000 10.4051
1.1090 1.9208 2.9711
3.9776 0.0000 2.9711
1.9888 3.4447 10.4051
0.0000 0.0000 5.2895
0.0000 0.0000 8.0867
0.0000 3.5770 6.6881
3.0978 1.7885 6.6881
```

***

[3]
Structure and theoretical powder X-ray diffraction pattern of Y3Sc2Se6 (a GGA-PBE-relaxed structure; Cu Kα, 1.54184 Å).

The 6 most intense peaks (15° ≤ 2θ ≤ 90°), by intensity:
| d/Å | 2θ (°) | I (rel.) |
| --- | --- | --- |
| 2.915 | 30.67 | 1000 |
| 1.991 | 45.55 | 409 |
| 1.970 | 46.08 | 218 |
| 2.139 | 42.25 | 210 |
| 2.687 | 33.35 | 198 |
| 1.644 | 55.91 | 173 |

Structural model:
```
Y3Sc2Se6
1.0
1.9915 1.1498 19.9982
-1.9915 1.1498 19.9982
0.0000 -2.2996 19.9982
Y Sc Se
3 2 6
Cartesian
0.0000 0.0000 0.0000
0.0000 0.0000 16.5829
0.0000 0.0000 43.4117
0.0000 0.0000 26.9322
0.0000 0.0000 33.0624
0.0000 0.0000 5.1959
0.0000 0.0000 11.7653
0.0000 0.0000 21.7203
0.0000 0.0000 38.2743
0.0000 0.0000 48.2293
0.0000 0.0000 54.7987
```